(1)
For W3O10, a GGA+U-relaxed structure gives the theoretical X-ray powder pattern in this record (Cu Kα (λ = 1.5418 Å)).

Largest 6 diffraction maxima, most intense first, 5 to 70 degrees two-theta:
2theta	d_spacing	I_rel
27.45	3.249	100
23.01	3.864	73
27.56	3.237	49
17.94	4.945	34
17.73	5.003	33
13.68	6.473	31

a b c (Å): 5.381 5.400 7.462
angles (deg): 69.19 69.02 88.37
Space group P1 (No. 1)
Inequivalent atoms, fractional coordinates:
W (0.000, 0.000, 0.000)
W (0.037, 0.564, 0.502)
W (0.496, 0.497, 0.008)
O (0.064, 0.223, 0.713)
O (0.245, 0.263, 0.998)
O (0.263, 0.770, 0.519)
O (0.282, 0.795, 0.931)
O (0.283, 0.445, 0.289)
O (0.709, 0.223, 0.078)
O (0.709, 0.581, 0.717)
O (0.745, 0.760, 0.004)
O (0.765, 0.228, 0.545)
O (0.931, 0.806, 0.289)

(2)
For WO2, a GGA+U-relaxed structure gives the theoretical X-ray powder pattern in this record (Cu Kα (λ = 1.5418 Å)).

Largest 6 diffraction maxima, most intense first, 5 to 70 degrees two-theta:
2theta	d_spacing	I_rel
33.01	2.714	100
11.75	7.530	64
26.47	3.367	51
16.65	5.324	50
54.06	1.696	42
44.54	2.034	34

a b c (Å): 10.648 10.648 3.302
angles (deg): 90.00 90.00 90.00
Space group I4/m (No. 87)
Inequivalent atoms, fractional coordinates:
W (0.153, 0.338, 0.000)
O (0.037, 0.663, 0.000)
O (0.159, 0.213, 0.500)

(3)
For WO3, a GGA+U-relaxed structure gives the theoretical X-ray powder pattern in this record (Cu Kα (λ = 1.5418 Å)).

Largest 6 diffraction maxima, most intense first, 5 to 70 degrees two-theta:
2theta	d_spacing	I_rel
23.36	3.808	100
33.27	2.693	38
53.83	1.703	27
47.77	1.904	18
33.07	2.709	10
33.50	2.675	9

a b c (Å): 5.418 7.619 5.351
angles (deg): 90.00 90.00 90.00
Space group Pnma (No. 62)
Inequivalent atoms, fractional coordinates:
W (0.000, 0.000, 0.000)
O (0.007, 0.250, 0.063)
O (0.219, 0.031, 0.719)

(4)
For W2O5, a GGA+U-relaxed structure gives the theoretical X-ray powder pattern in this record (Cu Kα (λ = 1.5418 Å)).

Largest 6 diffraction maxima, most intense first, 5 to 70 degrees two-theta:
2theta	d_spacing	I_rel
15.17	5.841	100
25.35	3.514	54
33.03	2.712	51
16.86	5.257	31
26.91	3.313	27
32.63	2.745	24

a b c (Å): 3.869 11.682 12.066
angles (deg): 90.00 90.00 90.00
Space group Cmcm (No. 63)
Inequivalent atoms, fractional coordinates:
W (0.000, 0.199, 0.100)
O (0.000, 0.051, 0.111)
O (0.000, 0.251, 0.568)
O (0.000, 0.263, 0.250)

(5)
For W2O5, a GGA+U-relaxed structure gives the theoretical X-ray powder pattern in this record (Cu Kα (λ = 1.5418 Å)).

Largest 6 diffraction maxima, most intense first, 5 to 70 degrees two-theta:
2theta	d_spacing	I_rel
23.02	3.863	100
32.93	2.720	67
23.22	3.830	59
53.03	1.727	32
32.79	2.732	27
58.62	1.575	26

a b c (Å): 7.721 7.731 7.660
angles (deg): 90.00 90.00 90.00
Space group Cmcm (No. 63)
Inequivalent atoms, fractional coordinates:
W (0.000, 0.008, 0.250)
W (0.000, 0.492, 0.750)
O (0.000, 0.000, 0.000)
O (0.000, 0.247, 0.750)
O (0.000, 0.262, 0.250)
O (0.247, 0.492, 0.750)